Starting from a PBE-relaxed structure, the powder diffraction line list of ScH3NCl3 was computed for λ = 1.5418 Å (Cu Kα).

Most intense lines, 15° ≤ 2θ ≤ 90°, by angle:
2θ = 17.1°, d = 5.182 Å, intensity 45, hkl 1 -1 0
2θ = 29.2°, d = 3.063 Å, intensity 66, hkl 0 3 1
2θ = 30.9°, d = 2.897 Å, intensity 86, hkl 2 2 2
2θ = 31.1°, d = 2.880 Å, intensity 80, hkl -2 1 1
2θ = 32.3°, d = 2.770 Å, intensity 100, hkl 0 2 -2
2θ = 39.8°, d = 2.264 Å, intensity 37, hkl -2 2 2
2θ = 51.1°, d = 1.787 Å, intensity 36, hkl 4 1 1
2θ = 60.4°, d = 1.532 Å, intensity 39, hkl 0 6 2

Structure:
```
data_ScH3NCl3
_cell_length_a 7.1572
_cell_length_b 9.3384
_cell_length_c 9.4441
_cell_angle_alpha 72.38
_cell_angle_beta 77.28
_cell_angle_gamma 80.13
_space_group_name_H-M_alt 'P -1'
_space_group_IT_number 2
loop_
_space_group_symop_operation_xyz
'x,y,z'
'-x,-y,-z'
loop_
_atom_site_label
_atom_site_type_symbol
_atom_site_fract_x
_atom_site_fract_y
_atom_site_fract_z
Sc1 Sc 0.0828 0.1942 0.4392
Sc2 Sc 0.4000 0.3083 0.0521
H1 H 0.1935 0.7792 0.9999
H2 H 0.2607 0.4060 0.5057
H3 H 0.2708 0.2537 0.6496
H4 H 0.2726 0.7614 0.1559
H5 H 0.2993 0.9156 0.0142
H6 H 0.4283 0.2636 0.4924
N1 N 0.2856 0.2897 0.5337
N2 N 0.3056 0.7997 0.0399
Cl1 Cl 0.0939 0.4097 0.2033
Cl2 Cl 0.1039 0.9577 0.6542
Cl3 Cl 0.1960 0.6815 0.4359
Cl4 Cl 0.2402 0.1923 0.9253
Cl5 Cl 0.3956 0.0912 0.2869
Cl6 Cl 0.4147 0.5470 0.8395
```

***

Starting from a PBE-relaxed structure, the powder diffraction line list of Ta2H15N6Cl7 was computed for λ = 1.5418 Å (Cu Kα).

Most intense lines, 15° ≤ 2θ ≤ 90°, by angle:
2θ = 17.4°, d = 5.094 Å, intensity 77, hkl 2 0 0
2θ = 23.1°, d = 3.855 Å, intensity 50, hkl 1 5 0
2θ = 24.0°, d = 3.709 Å, intensity 46, hkl 0 2 2
2θ = 25.7°, d = 3.469 Å, intensity 70, hkl 0 6 0
2θ = 27.3°, d = 3.264 Å, intensity 100, hkl 1 3 2
2θ = 28.3°, d = 3.157 Å, intensity 93, hkl 0 4 2
2θ = 35.2°, d = 2.546 Å, intensity 58, hkl 4 0 0
2θ = 45.8°, d = 1.982 Å, intensity 44, hkl 4 4 2

Structure:
```
data_Ta2H15N6Cl7
_cell_length_a 10.1872
_cell_length_b 20.8209
_cell_length_c 7.9399
_cell_angle_alpha 90.00
_cell_angle_beta 90.00
_cell_angle_gamma 90.00
_space_group_name_H-M_alt 'C m c m'
_space_group_IT_number 63
_space_group_name_Hall '-C 2c 2'
loop_
_atom_site_label
_atom_site_type_symbol
_atom_site_fract_x
_atom_site_fract_y
_atom_site_fract_z
Ta1 Ta 0.0000 0.0000 0.0000
Ta2 Ta 0.0000 0.1605 0.2500
H1 H 0.0000 0.0781 0.7500
H2 H 0.0000 0.1268 0.5309
H3 H 0.0000 0.4664 0.6466
H4 H 0.0838 0.4085 0.7500
H5 H 0.1694 0.1189 0.7500
H6 H 0.1708 0.3606 0.2500
H7 H 0.2137 0.1860 0.6447
N1 N 0.0000 0.0287 0.7500
N2 N 0.0000 0.0963 0.0711
N3 N 0.0000 0.4365 0.7500
N4 N 0.2307 0.1583 0.7500
Cl1 Cl 0.0000 0.2451 0.0233
Cl2 Cl 0.0000 0.4070 0.2500
Cl3 Cl 0.2384 0.0000 0.0000
Cl4 Cl 0.2386 0.1738 0.2500
```

***

Starting from a PBE-relaxed structure, the powder diffraction line list of TlH2NCl2 was computed for λ = 1.5418 Å (Cu Kα).

Most intense lines, 15° ≤ 2θ ≤ 90°, by angle:
2θ = 24.1°, d = 3.699 Å, intensity 69, hkl 1 2 1
2θ = 24.9°, d = 3.580 Å, intensity 72, hkl 2 0 2
2θ = 27.9°, d = 3.199 Å, intensity 56, hkl 0 0 4
2θ = 29.2°, d = 3.055 Å, intensity 100, hkl 2 2 0
2θ = 31.2°, d = 2.864 Å, intensity 40, hkl 1 2 3
2θ = 40.8°, d = 2.209 Å, intensity 76, hkl 2 2 4
2θ = 41.8°, d = 2.160 Å, intensity 36, hkl 4 0 0
2θ = 51.0°, d = 1.790 Å, intensity 43, hkl 4 0 4

Structure:
```
data_TlH2NCl2
_cell_length_a 8.6412
_cell_length_b 8.6412
_cell_length_c 12.7940
_cell_angle_alpha 90.00
_cell_angle_beta 90.00
_cell_angle_gamma 90.00
_space_group_name_H-M_alt 'I 41/a'
_space_group_IT_number 88
loop_
_space_group_symop_operation_xyz
'x,y,z'
'-x,-y,-z'
'-y+3/4,x+1/4,z+1/4'
'y+3/4,-x+1/4,-z+1/4'
'-x+1/2,-y,z+1/2'
'x+1/2,y,-z+1/2'
'y+3/4,-x+3/4,z+3/4'
'-y+3/4,x+3/4,-z+3/4'
'x+1/2,y+1/2,z+1/2'
'-x+1/2,-y+1/2,-z+1/2'
'-y+1/4,x+3/4,z+3/4'
'y+1/4,-x+3/4,-z+3/4'
'-x,-y+1/2,z'
'x,y+1/2,-z'
'y+1/4,-x+1/4,z+1/4'
'-y+1/4,x+1/4,-z+1/4'
loop_
_atom_site_label
_atom_site_type_symbol
_atom_site_fract_x
_atom_site_fract_y
_atom_site_fract_z
Tl1 Tl 0.0000 0.0000 0.0000
H1 H 0.0047 0.4899 0.5813
N1 N 0.0000 0.0000 0.5000
Cl1 Cl 0.0039 0.4798 0.7462
```

***

Starting from a PBE-relaxed structure, the powder diffraction line list of TlH4NCl4 was computed for λ = 1.5418 Å (Cu Kα).

Most intense lines, 15° ≤ 2θ ≤ 90°, by angle:
2θ = 20.7°, d = 4.288 Å, intensity 100, hkl 1 1 2
2θ = 28.3°, d = 3.157 Å, intensity 23, hkl 1 2 1
2θ = 32.5°, d = 2.755 Å, intensity 13, hkl 2 1 3
2θ = 33.5°, d = 2.673 Å, intensity 30, hkl 2 0 4
2θ = 35.2°, d = 2.547 Å, intensity 13, hkl 2 2 0
2θ = 38.2°, d = 2.357 Å, intensity 13, hkl 1 1 6
2θ = 39.8°, d = 2.267 Å, intensity 15, hkl 2 1 5
2θ = 41.2°, d = 2.190 Å, intensity 23, hkl 1 3 2

Structure:
```
data_TlH4NCl4
_cell_length_a 7.2027
_cell_length_b 7.2027
_cell_length_c 15.9514
_cell_angle_alpha 90.00
_cell_angle_beta 90.00
_cell_angle_gamma 90.00
_space_group_name_H-M_alt 'I 41/a'
_space_group_IT_number 88
loop_
_space_group_symop_operation_xyz
'x,y,z'
'-x,-y,-z'
'-y+3/4,x+1/4,z+1/4'
'y+3/4,-x+1/4,-z+1/4'
'-x+1/2,-y,z+1/2'
'x+1/2,y,-z+1/2'
'y+3/4,-x+3/4,z+3/4'
'-y+3/4,x+3/4,-z+3/4'
'x+1/2,y+1/2,z+1/2'
'-x+1/2,-y+1/2,-z+1/2'
'-y+1/4,x+3/4,z+3/4'
'y+1/4,-x+3/4,-z+3/4'
'-x,-y+1/2,z'
'x,y+1/2,-z'
'y+1/4,-x+1/4,z+1/4'
'-y+1/4,x+1/4,-z+1/4'
loop_
_atom_site_label
_atom_site_type_symbol
_atom_site_fract_x
_atom_site_fract_y
_atom_site_fract_z
Tl1 Tl 0.0000 0.2500 0.1250
H1 H 0.0302 0.3628 0.6626
N1 N 0.0000 0.2500 0.6250
Cl1 Cl 0.1548 0.4914 0.2112
```

***

Starting from a PBE-relaxed structure, the powder diffraction line list of H4WNCl6 was computed for λ = 1.5418 Å (Cu Kα).

Most intense lines, 15° ≤ 2θ ≤ 90°, by angle:
2θ = 17.1°, d = 5.195 Å, intensity 100, hkl 1 1 -1
2θ = 18.3°, d = 4.855 Å, intensity 73, hkl 1 1 1
2θ = 19.0°, d = 4.678 Å, intensity 31, hkl 2 0 -2
2θ = 26.4°, d = 3.381 Å, intensity 25, hkl 1 1 -3
2θ = 26.6°, d = 3.356 Å, intensity 21, hkl 3 1 -1
2θ = 32.4°, d = 2.765 Å, intensity 22, hkl 2 2 0
2θ = 32.8°, d = 2.734 Å, intensity 36, hkl 3 1 2
2θ = 42.8°, d = 2.115 Å, intensity 37, hkl 3 1 -5

Structure:
```
data_H4WNCl6
_cell_length_a 12.0567
_cell_length_b 6.2457
_cell_length_c 12.1993
_cell_angle_alpha 90.00
_cell_angle_beta 100.98
_cell_angle_gamma 90.00
_space_group_name_H-M_alt 'C 1 2/c 1'
_space_group_IT_number 15
loop_
_space_group_symop_operation_xyz
'x,y,z'
'-x,-y,-z'
'-x,y,-z+1/2'
'x,-y,z+1/2'
'x+1/2,y+1/2,z'
'-x+1/2,-y+1/2,-z'
'-x+1/2,y+1/2,-z+1/2'
'x+1/2,-y+1/2,z+1/2'
loop_
_atom_site_label
_atom_site_type_symbol
_atom_site_fract_x
_atom_site_fract_y
_atom_site_fract_z
H1 H 0.0087 0.0042 0.3204
H2 H 0.0709 0.1864 0.7545
W1 W 0.2500 0.2500 0.5000
N1 N 0.0000 0.0919 0.7500
Cl1 Cl 0.0828 0.3947 0.3969
Cl2 Cl 0.1500 0.0583 0.0344
Cl3 Cl 0.2120 0.4090 0.6636
```

***

Starting from a PBE-relaxed structure, the powder diffraction line list of ZnH8N4Cl2 was computed for λ = 1.5418 Å (Cu Kα).

Most intense lines, 15° ≤ 2θ ≤ 90°, by angle:
2θ = 15.1°, d = 5.854 Å, intensity 100, hkl 1 1 0
2θ = 21.9°, d = 4.063 Å, intensity 30, hkl 0 0 1
2θ = 22.6°, d = 3.932 Å, intensity 30, hkl 0 2 0
2θ = 31.7°, d = 2.825 Å, intensity 96, hkl 0 2 1
2θ = 32.7°, d = 2.740 Å, intensity 40, hkl 3 1 0
2θ = 34.8°, d = 2.575 Å, intensity 30, hkl 3 1 -1
2θ = 41.5°, d = 2.175 Å, intensity 15, hkl 4 0 -1
2θ = 44.6°, d = 2.031 Å, intensity 17, hkl 0 0 2

Structure:
```
data_ZnH8N4Cl2
_cell_length_a 9.0689
_cell_length_b 7.8635
_cell_length_c 4.2023
_cell_angle_alpha 90.00
_cell_angle_beta 104.80
_cell_angle_gamma 90.00
_space_group_name_H-M_alt 'C 1 2/m 1'
_space_group_IT_number 12
loop_
_space_group_symop_operation_xyz
'x,y,z'
'-x,-y,-z'
'-x,y,-z'
'x,-y,z'
'x+1/2,y+1/2,z'
'-x+1/2,-y+1/2,-z'
'-x+1/2,y+1/2,-z'
'x+1/2,-y+1/2,z'
loop_
_atom_site_label
_atom_site_type_symbol
_atom_site_fract_x
_atom_site_fract_y
_atom_site_fract_z
Zn1 Zn 0.0000 0.0000 0.0000
H1 H 0.0577 0.3117 0.2977
H2 H 0.1570 0.1629 0.5430
N1 N 0.0513 0.1925 0.3943
Cl1 Cl 0.2159 0.5000 0.9959
```

***

Starting from a PBE-relaxed structure, the powder diffraction line list of Zr2HN2Cl2 was computed for λ = 1.5418 Å (Cu Kα).

Most intense lines, 15° ≤ 2θ ≤ 90°, by angle:
2θ = 27.2°, d = 3.273 Å, intensity 16, hkl 1 0 1
2θ = 30.0°, d = 2.976 Å, intensity 100, hkl 1 0 4
2θ = 37.7°, d = 2.386 Å, intensity 42, hkl 0 1 8
2θ = 39.1°, d = 2.306 Å, intensity 15, hkl 0 0 12
2θ = 47.8°, d = 1.903 Å, intensity 35, hkl 1 1 0
2θ = 57.5°, d = 1.603 Å, intensity 15, hkl 0 2 4
2θ = 63.4°, d = 1.468 Å, intensity 19, hkl 1 1 12
2θ = 77.9°, d = 1.226 Å, intensity 12, hkl 2 1 4

Structure:
```
data_Zr2HN2Cl2
_cell_length_a 3.8063
_cell_length_b 3.8063
_cell_length_c 27.6755
_cell_angle_alpha 90.00
_cell_angle_beta 90.00
_cell_angle_gamma 120.00
_space_group_name_H-M_alt 'R 3 m'
_space_group_IT_number 160
_space_group_name_Hall 'R 3 -2"'
loop_
_atom_site_label
_atom_site_type_symbol
_atom_site_fract_x
_atom_site_fract_y
_atom_site_fract_z
Zr1 Zr 0.0000 0.0000 0.0000
Zr2 Zr 0.0000 0.0000 0.2459
H1 H 0.0000 0.0000 0.3647
N1 N 0.0000 0.0000 0.3270
N2 N 0.0000 0.0000 0.9248
Cl1 Cl 0.0000 0.0000 0.5160
Cl2 Cl 0.0000 0.0000 0.7352
```